Ti2O3: theoretical XRD peak list (Cu Kα (weighted mean of Kα1 and Kα2)), based on a PBE-relaxed structure.
Peak positions follow from Bragg's law for the DFT cell and can differ from measured ones.

Structure:
abc: 7.8804 2.8550 8.2083
angles: 90.00 90.00 90.00
Space group Pnma (No. 62)
Unique sites:
Ti (0.0299, 0.2500, 0.1840) [4 per cell]
Ti (0.1959, 0.2500, 0.5183) [4 per cell]
O (0.0568, 0.7500, 0.3749) [4 per cell]
O (0.1208, 0.2500, 0.9467) [4 per cell]
O (0.2080, 0.7500, 0.6893) [4 per cell]

Largest 10 diffraction maxima, sorted by position, 2θ = 5–70°:
- d = 2.842 Å, rel. 93, (2 0 2)
- d = 2.697 Å, rel. 35, (0 1 1)
- d = 2.585 Å, rel. 33, (1 0 3)
- d = 2.502 Å, rel. 43, (3 0 1)
- d = 2.312 Å, rel. 33, (2 1 0)
- d = 2.247 Å, rel. 62, (1 1 2)
- d = 1.975 Å, rel. 38, (0 1 3)
- d = 1.916 Å, rel. 100, (1 1 3)
- d = 1.882 Å, rel. 45, (3 1 1)
- d = 1.508 Å, rel. 43, (4 1 2)

=====

TiO: theoretical XRD peak list (Cu Kα (weighted mean of Kα1 and Kα2)), based on a PBE-relaxed structure.
Peak positions follow from Bragg's law for the DFT cell and can differ from measured ones.

Structure:
abc: 2.8265 2.8265 2.8379
angles: 90.00 90.00 120.00
Space group P-6m2 (No. 187)
Unique sites:
Ti (0.0000, 0.0000, 0.0000) [1 per cell]
O (0.3333, 0.6667, 0.5000) [1 per cell]

Largest 5 diffraction maxima, sorted by position, 2θ = 5–70°:
- d = 2.838 Å, rel. 19, (0 0 1)
- d = 2.448 Å, rel. 67, (1 0 0)
- d = 1.854 Å, rel. 100, (1 0 1)
- d = 1.419 Å, rel. 7, (0 0 2)
- d = 1.413 Å, rel. 22, (1 1 0)

=====

Repeat the second record exactly.
TiO: theoretical XRD peak list (Cu Kα (weighted mean of Kα1 and Kα2)), based on a PBE-relaxed structure.
Peak positions follow from Bragg's law for the DFT cell and can differ from measured ones.

Structure:
abc: 2.8265 2.8265 2.8379
angles: 90.00 90.00 120.00
Space group P-6m2 (No. 187)
Unique sites:
Ti (0.0000, 0.0000, 0.0000) [1 per cell]
O (0.3333, 0.6667, 0.5000) [1 per cell]

Largest 5 diffraction maxima, sorted by position, 2θ = 5–70°:
- d = 2.838 Å, rel. 19, (0 0 1)
- d = 2.448 Å, rel. 67, (1 0 0)
- d = 1.854 Å, rel. 100, (1 0 1)
- d = 1.419 Å, rel. 7, (0 0 2)
- d = 1.413 Å, rel. 22, (1 1 0)